[1]
For RbCe2US8, a DFT-relaxed cell (GGA-PBE, Alexandria) gives the computed PXRD pattern in this record (λ = 1.5418 Å (Cu Kα)).
Intensities are scaled so that the largest is 100.

Largest 10 diffraction maxima, low angle first, 10° ≤ 2θ ≤ 90°:
| d (Å) | intensity | (hkl) |
| --- | --- | --- |
| 8.081 | 100 | 0 0 1 |
| 5.065 | 51 | 1 0 0 |
| 3.902 | 51 | 1 1 -1 |
| 3.846 | 71 | 1 0 1 |
| 3.561 | 97 | 0 2 0 |
| 3.344 | 40 | -1 1 2 |
| 2.750 | 47 | 1 -2 1 |
| 2.551 | 32 | -1 1 3 |
| 2.495 | 59 | 1 2 1 |
| 2.399 | 27 | -2 1 2 |

Structure:
```
data_RbCe2US8
_cell_length_a 5.2925
_cell_length_b 7.1657
_cell_length_c 8.3979
_cell_angle_alpha 90.06
_cell_angle_beta 105.70
_cell_angle_gamma 96.01
_space_group_name_H-M_alt 'P -1'
_space_group_IT_number 2
loop_
_space_group_symop_operation_xyz
'x,y,z'
'-x,-y,-z'
loop_
_atom_site_label
_atom_site_type_symbol
_atom_site_fract_x
_atom_site_fract_y
_atom_site_fract_z
_atom_site_occupancy
Rb1 Rb 0.0000 0.0000 0.0000 1
Ce1 Ce 0.3744 0.4559 0.6908 1
U1 U 0.5000 0.0000 0.5000 1
S1 S 0.1801 0.6845 0.4111 1
S2 S 0.1967 0.5313 0.9956 1
S3 S 0.2354 0.2549 0.3542 1
S4 S 0.3726 0.0751 0.7549 1
```

=====

[2]
For Pm2MgSnPd6, a DFT-relaxed cell (GGA-PBE, Alexandria) gives the computed PXRD pattern in this record (λ = 1.5418 Å (Cu Kα)).
Intensities are scaled so that the largest is 100.

Largest 10 diffraction maxima, low angle first, 10° ≤ 2θ ≤ 90°:
| d (Å) | intensity | (hkl) |
| --- | --- | --- |
| 3.037 | 51 | 1 0 2 |
| 3.007 | 46 | 1 2 0 |
| 2.680 | 31 | -1 1 1 |
| 2.533 | 49 | 2 2 1 |
| 2.512 | 52 | 0 1 -2 |
| 2.392 | 100 | 2 0 0 |
| 2.287 | 68 | 0 2 2 |
| 2.278 | 78 | 2 0 2 |
| 2.226 | 64 | 1 0 -2 |
| 2.190 | 61 | 1 3 1 |

Structure:
```
data_Pm2MgSnPd6
_cell_length_a 5.6142
_cell_length_b 6.5777
_cell_length_c 6.6831
_cell_angle_alpha 72.00
_cell_angle_beta 65.22
_cell_angle_gamma 64.80
_space_group_name_H-M_alt 'P -1'
_space_group_IT_number 2
loop_
_space_group_symop_operation_xyz
'x,y,z'
'-x,-y,-z'
loop_
_atom_site_label
_atom_site_type_symbol
_atom_site_fract_x
_atom_site_fract_y
_atom_site_fract_z
_atom_site_occupancy
Pm1 Pm 0.0016 0.2496 0.2475 1
Mg1 Mg 0.5000 0.0000 0.5000 1
Sn1 Sn 0.5000 0.5000 0.0000 1
Pd1 Pd 0.0043 0.1876 0.8068 1
Pd2 Pd 0.3098 0.4366 0.4442 1
Pd3 Pd 0.5005 0.1875 0.8077 1
```

=====

[3]
For ErTl7, a DFT-relaxed cell (GGA-PBE, Alexandria) gives the computed PXRD pattern in this record (λ = 1.5418 Å (Cu Kα)).
Intensities are scaled so that the largest is 100.

Largest 7 diffraction maxima, low angle first, 10° ≤ 2θ ≤ 90°:
| d (Å) | intensity | (hkl) |
| --- | --- | --- |
| 2.807 | 100 | 2 2 2 |
| 2.431 | 51 | 4 0 0 |
| 1.719 | 36 | 4 4 0 |
| 1.466 | 43 | 6 2 2 |
| 1.404 | 12 | 4 4 4 |
| 1.216 | 6 | 8 0 0 |
| 1.116 | 19 | 6 6 2 |

Structure:
```
data_ErTl7
_cell_length_a 9.7248
_cell_length_b 9.7248
_cell_length_c 9.7248
_cell_angle_alpha 90.00
_cell_angle_beta 90.00
_cell_angle_gamma 90.00
_space_group_name_H-M_alt 'F m -3 m'
_space_group_IT_number 225
_space_group_name_Hall '-F 4 2 3'
loop_
_atom_site_label
_atom_site_type_symbol
_atom_site_fract_x
_atom_site_fract_y
_atom_site_fract_z
_atom_site_occupancy
Er1 Er 0.0000 0.0000 0.0000 1
Tl1 Tl 0.0000 0.0000 0.5000 1
Tl2 Tl 0.0000 0.2500 0.2500 1
```

=====

[4]
For Tl5Hg3Pb3, a DFT-relaxed cell (GGA-PBE, Alexandria) gives the computed PXRD pattern in this record (λ = 1.5418 Å (Cu Kα)).
Intensities are scaled so that the largest is 100.

Largest 10 diffraction maxima, low angle first, 10° ≤ 2θ ≤ 90°:
| d (Å) | intensity | (hkl) |
| --- | --- | --- |
| 3.625 | 41 | 2 1 0 |
| 3.197 | 73 | 3 0 0 |
| 2.844 | 80 | 1 1 1 |
| 2.768 | 33 | 2 2 0 |
| 2.727 | 34 | 2 0 1 |
| 2.660 | 100 | 3 1 0 |
| 2.446 | 57 | 2 1 1 |
| 2.125 | 72 | 2 2 1 |
| 1.833 | 51 | 3 2 1 |
| 1.440 | 41 | 6 0 1 |

Structure:
```
data_Tl5Hg3Pb3
_cell_length_a 11.0736
_cell_length_b 11.0736
_cell_length_c 3.3148
_cell_angle_alpha 90.00
_cell_angle_beta 90.00
_cell_angle_gamma 120.00
_space_group_name_H-M_alt 'P -6 2 m'
_space_group_IT_number 189
_space_group_name_Hall 'P -6 -2'
loop_
_atom_site_label
_atom_site_type_symbol
_atom_site_fract_x
_atom_site_fract_y
_atom_site_fract_z
_atom_site_occupancy
Tl1 Tl 0.0000 0.6770 0.0000 1
Tl2 Tl 0.3333 0.6667 0.0000 1
Hg1 Hg 0.0000 0.1628 0.0000 1
Pb1 Pb 0.0000 0.4119 0.5000 1
```

=====

[5]
For Cs2H2Se2O, a DFT-relaxed cell (GGA-PBE, Alexandria) gives the computed PXRD pattern in this record (λ = 1.5418 Å (Cu Kα)).
Intensities are scaled so that the largest is 100.

Largest 10 diffraction maxima, low angle first, 10° ≤ 2θ ≤ 90°:
| d (Å) | intensity | (hkl) |
| --- | --- | --- |
| 4.740 | 100 | 1 1 0 |
| 3.551 | 55 | 1 1 1 |
| 3.427 | 46 | 2 0 -2 |
| 3.225 | 35 | 0 0 2 |
| 3.156 | 46 | 3 1 -1 |
| 3.030 | 80 | 4 0 -1 |
| 2.671 | 55 | 3 1 -2 |
| 2.617 | 41 | 0 2 0 |
| 2.483 | 39 | 1 1 2 |
| 2.262 | 25 | 4 0 1 |

Structure:
```
data_Cs2H2Se2O
_cell_length_a 12.1139
_cell_length_b 5.2347
_cell_length_c 6.9988
_cell_angle_alpha 90.00
_cell_angle_beta 112.83
_cell_angle_gamma 90.00
_space_group_name_H-M_alt 'C 1 2/m 1'
_space_group_IT_number 12
loop_
_space_group_symop_operation_xyz
'x,y,z'
'-x,-y,-z'
'-x,y,-z'
'x,-y,z'
'x+1/2,y+1/2,z'
'-x+1/2,-y+1/2,-z'
'-x+1/2,y+1/2,-z'
'x+1/2,-y+1/2,z'
loop_
_atom_site_label
_atom_site_type_symbol
_atom_site_fract_x
_atom_site_fract_y
_atom_site_fract_z
_atom_site_occupancy
Cs1 Cs 0.1803 0.0000 0.2265 1
H1 H 0.0256 0.5000 0.8859 1
Se1 Se 0.0854 0.0000 0.6635 1
O1 O 0.0000 0.5000 0.0000 1
```

=====

[6]
For Pt2Rh7, a DFT-relaxed cell (GGA-PBE, Alexandria) gives the computed PXRD pattern in this record (λ = 1.5418 Å (Cu Kα)).
Intensities are scaled so that the largest is 100.

Largest 10 diffraction maxima, low angle first, 10° ≤ 2θ ≤ 90°:
| d (Å) | intensity | (hkl) |
| --- | --- | --- |
| 6.723 | 9 | 0 0 1 |
| 2.241 | 33 | 0 0 3 |
| 2.232 | 100 | 1 1 1 |
| 1.935 | 64 | 2 -1 2 |
| 1.370 | 21 | 1 1 4 |
| 1.366 | 20 | 3 0 0 |
| 1.169 | 12 | 2 -1 5 |
| 1.167 | 24 | 3 0 3 |
| 1.165 | 12 | 4 -2 1 |
| 1.116 | 11 | 2 2 2 |

Structure:
```
data_Pt2Rh7
_cell_length_a 4.7336
_cell_length_b 4.7336
_cell_length_c 6.7227
_cell_angle_alpha 90.00
_cell_angle_beta 90.00
_cell_angle_gamma 120.00
_space_group_name_H-M_alt 'P -3 1 m'
_space_group_IT_number 162
_space_group_name_Hall '-P 3 2'
loop_
_atom_site_label
_atom_site_type_symbol
_atom_site_fract_x
_atom_site_fract_y
_atom_site_fract_z
_atom_site_occupancy
Pt1 Pt 0.3333 0.6667 0.0000 1
Rh1 Rh 0.0000 0.0000 0.0000 1
Rh2 Rh 0.0000 0.3319 0.6626 1
```